Record 1
This entry pairs a crystal structure of Nb with its computed X-ray powder pattern. Radiation: λ = 1.5418 Å (Cu Kα). Structure: a PBE-relaxed structure.
No peak broadening, texture or thermal motion is included.

Cell and atoms:
a = 5.4660 Å, b = 5.4660 Å, c = 28.6389 Å
α = 90.00°, β = 90.00°, γ = 120.00°
Space group R-3m (No. 166, hexagonal axes)
Inequivalent atoms, fractional coordinates:
Nb: 0.0000 0.0000 0.0000
Nb: 0.0000 0.0000 0.1675
Nb: 0.0000 0.0000 0.3517
Nb: 0.0000 0.0000 0.4559
Nb: 0.0037 0.5018 0.4105

Principal peaks in the range 5 to 70 degrees two-theta, in order of falling intensity:
- 2.372 Å, 2θ 37.9, rel. 100, (1 1 6)
- 2.281 Å, 2θ 39.5, rel. 62, (0 1 11)
- 2.187 Å, 2θ 41.3, rel. 55, (2 0 5)
- 2.359 Å, 2θ 38.2, rel. 48, (0 2 1)
- 2.733 Å, 2θ 32.8, rel. 47, (1 1 0)
- 2.450 Å, 2θ 36.7, rel. 40, (1 0 10)
- 1.366 Å, 2θ 68.7, rel. 35, (2 2 0)
- 1.475 Å, 2θ 63.0, rel. 30, (1 2 11)
- 1.498 Å, 2θ 61.9, rel. 23, (0 3 6)
- 2.247 Å, 2θ 40.1, rel. 22, (0 2 4)
- 1.372 Å, 2θ 68.3, rel. 22, (2 0 17)
- 2.387 Å, 2θ 37.7, rel. 20, (0 0 12)

=====

Record 2
This entry pairs a crystal structure of Nb with its computed X-ray powder pattern. Radiation: λ = 1.5418 Å (Cu Kα). Structure: a PBE-relaxed structure.
No peak broadening, texture or thermal motion is included.

Cell and atoms:
a = 5.311 Å, b = 5.311 Å, c = 5.311 Å
α = 90.00°, β = 90.00°, γ = 90.00°
Space group Pm-3n (No. 223)
Inequivalent atoms, fractional coordinates:
Nb: 0.000 0.000 0.000
Nb: 0.000 0.250 0.500

Principal peaks in the range 5 to 70 degrees two-theta, in order of falling intensity:
- 2.375 Å, 2θ 37.9, rel. 100, (2 1 0)
- 2.168 Å, 2θ 41.7, rel. 76, (2 1 1)
- 1.419 Å, 2θ 65.8, rel. 38, (3 2 1)
- 2.655 Å, 2θ 33.8, rel. 35, (2 0 0)
- 1.473 Å, 2θ 63.1, rel. 22, (3 2 0)
- 1.533 Å, 2θ 60.4, rel. 8, (2 2 2)

=====

Record 3
This entry pairs a crystal structure of Nd2NbO4 with its computed X-ray powder pattern. Radiation: λ = 1.5418 Å (Cu Kα). Structure: a PBE-relaxed structure.
No peak broadening, texture or thermal motion is included.

Cell and atoms:
a = 9.616 Å, b = 9.616 Å, c = 9.616 Å
α = 90.00°, β = 90.00°, γ = 90.00°
Space group Fd-3m (No. 227, origin choice 2)
Inequivalent atoms, fractional coordinates:
Nd: 0.000 0.000 0.000
Nb: 0.125 0.125 0.625
O: 0.008 0.008 0.742

Principal peaks in the range 5 to 70 degrees two-theta, in order of falling intensity:
- 2.899 Å, 2θ 30.8, rel. 100, (3 1 1)
- 1.700 Å, 2θ 53.9, rel. 43, (4 4 0)
- 1.851 Å, 2θ 49.2, rel. 34, (3 3 3)
- 2.776 Å, 2θ 32.2, rel. 32, (2 2 2)
- 2.404 Å, 2θ 37.4, rel. 21, (4 0 0)
- 5.552 Å, 2θ 16.0, rel. 17, (1 1 1)
- 3.400 Å, 2θ 26.2, rel. 16, (2 2 0)
- 1.450 Å, 2θ 64.3, rel. 15, (6 2 2)
- 1.466 Å, 2θ 63.4, rel. 12, (5 3 3)
- 2.206 Å, 2θ 40.9, rel. 7, (3 3 1)
- 1.963 Å, 2θ 46.3, rel. 6, (4 2 2)
- 1.388 Å, 2θ 67.5, rel. 4, (4 4 4)

=====

Record 4
This entry pairs a crystal structure of Nb2Ni3 with its computed X-ray powder pattern. Radiation: λ = 1.5418 Å (Cu Kα). Structure: a PBE-relaxed structure.
No peak broadening, texture or thermal motion is included.

Cell and atoms:
a = 6.2322 Å, b = 6.2322 Å, c = 13.5483 Å
α = 90.00°, β = 90.00°, γ = 120.00°
Space group R-3c (No. 167, hexagonal axes)
Inequivalent atoms, fractional coordinates:
Nb: 0.0000 0.0000 0.0974
Ni: 0.0000 0.2384 0.2500

Principal peaks in the range 5 to 70 degrees two-theta, in order of falling intensity:
- 3.116 Å, 2θ 28.6, rel. 100, (1 1 0)
- 2.258 Å, 2θ 39.9, rel. 94, (0 0 6)
- 1.747 Å, 2θ 52.4, rel. 93, (2 1 4)
- 2.565 Å, 2θ 35.0, rel. 92, (1 1 3)
- 2.111 Å, 2θ 42.8, rel. 78, (0 2 4)
- 2.017 Å, 2θ 44.9, rel. 58, (2 1 1)
- 1.799 Å, 2θ 50.7, rel. 55, (3 0 0)
- 1.953 Å, 2θ 46.5, rel. 53, (1 2 2)
- 2.507 Å, 2θ 35.8, rel. 49, (2 0 2)
- 1.407 Å, 2θ 66.4, rel. 37, (3 0 6)
- 1.630 Å, 2θ 56.5, rel. 28, (1 2 5)
- 1.828 Å, 2θ 49.9, rel. 27, (1 1 6)

=====

Record 5
This entry pairs a crystal structure of Nb2NiSn2Os with its computed X-ray powder pattern. Radiation: λ = 1.5418 Å (Cu Kα). Structure: a PBE-relaxed structure.
No peak broadening, texture or thermal motion is included.

Cell and atoms:
a = 6.148 Å, b = 6.148 Å, c = 12.237 Å
α = 90.00°, β = 90.00°, γ = 90.00°
Space group I-42d (No. 122)
Inequivalent atoms, fractional coordinates:
Nb: 0.247 0.750 0.125
Ni: 0.000 0.000 0.500
Sn: 0.235 0.250 0.625
Os: 0.000 0.000 0.000

Principal peaks in the range 5 to 70 degrees two-theta, in order of falling intensity:
- 2.169 Å, 2θ 41.6, rel. 100, (2 0 4)
- 3.544 Å, 2θ 25.1, rel. 53, (1 1 2)
- 2.174 Å, 2θ 41.5, rel. 50, (2 2 0)
- 1.853 Å, 2θ 49.2, rel. 17, (3 1 2)
- 1.537 Å, 2θ 60.2, rel. 17, (4 0 0)
- 5.494 Å, 2θ 16.1, rel. 13, (1 0 1)
- 3.074 Å, 2θ 29.0, rel. 9, (2 0 0)
- 1.846 Å, 2θ 49.4, rel. 9, (1 1 6)
- 1.530 Å, 2θ 60.5, rel. 8, (0 0 8)
- 2.683 Å, 2θ 33.4, rel. 8, (2 1 1)
- 1.407 Å, 2θ 66.4, rel. 7, (3 1 6)
- 3.399 Å, 2θ 26.2, rel. 6, (1 0 3)

=====

Record 6
This entry pairs a crystal structure of NbZnNiOs with its computed X-ray powder pattern. Radiation: λ = 1.5418 Å (Cu Kα). Structure: a PBE-relaxed structure.
No peak broadening, texture or thermal motion is included.

Cell and atoms:
a = 6.154 Å, b = 6.154 Å, c = 6.154 Å
α = 90.00°, β = 90.00°, γ = 90.00°
Space group F-43m (No. 216)
Inequivalent atoms, fractional coordinates:
Nb: 0.000 0.000 0.000
Zn: 0.250 0.250 0.250
Ni: 0.000 0.000 0.500
Os: 0.250 0.250 0.750

Principal peaks in the range 5 to 70 degrees two-theta, in order of falling intensity:
- 2.176 Å, 2θ 41.5, rel. 100, (2 2 0)
- 3.553 Å, 2θ 25.1, rel. 20, (1 1 1)
- 1.539 Å, 2θ 60.1, rel. 16, (4 0 0)
- 1.856 Å, 2θ 49.1, rel. 10, (3 1 1)
- 3.077 Å, 2θ 29.0, rel. 7, (2 0 0)
- 1.412 Å, 2θ 66.2, rel. 4, (3 3 1)
- 1.376 Å, 2θ 68.1, rel. 3, (4 2 0)
- 1.777 Å, 2θ 51.4, rel. 2, (2 2 2)

=====

Record 7
This entry pairs a crystal structure of NbNi4P16 with its computed X-ray powder pattern. Radiation: λ = 1.5418 Å (Cu Kα). Structure: a PBE-relaxed structure.
No peak broadening, texture or thermal motion is included.

Cell and atoms:
a = 19.745 Å, b = 5.709 Å, c = 11.192 Å
α = 90.00°, β = 100.72°, γ = 90.00°
Space group C2/c (No. 15)
Inequivalent atoms, fractional coordinates:
Nb: 0.000 0.106 0.250
Ni: 0.107 0.405 0.574
Ni: 0.249 0.055 0.129
P: 0.004 0.243 0.605
P: 0.063 0.451 0.369
P: 0.064 0.223 0.080
P: 0.123 0.003 0.840
P: 0.142 0.037 0.543
P: 0.142 0.371 0.781
P: 0.213 0.435 0.054
P: 0.222 0.164 0.313

Principal peaks in the range 5 to 70 degrees two-theta, in order of falling intensity:
- 2.784 Å, 2θ 32.1, rel. 100, (2 0 -4)
- 2.763 Å, 2θ 32.4, rel. 78, (0 2 1)
- 1.817 Å, 2θ 50.2, rel. 67, (3 3 -1)
- 3.599 Å, 2θ 24.7, rel. 64, (3 1 -2)
- 1.709 Å, 2θ 53.6, rel. 63, (5 1 -6)
- 2.425 Å, 2θ 37.1, rel. 57, (8 0 0)
- 2.525 Å, 2θ 35.6, rel. 55, (2 0 4)
- 2.603 Å, 2θ 34.5, rel. 54, (5 1 2)
- 1.698 Å, 2θ 54.0, rel. 54, (11 1 -2)
- 1.761 Å, 2θ 51.9, rel. 50, (2 2 -5)
- 1.866 Å, 2θ 48.8, rel. 46, (8 2 -1)
- 4.166 Å, 2θ 21.3, rel. 43, (3 1 -1)

=====

Record 8
This entry pairs a crystal structure of TaNbNiP with its computed X-ray powder pattern. Radiation: λ = 1.5418 Å (Cu Kα). Structure: a PBE-relaxed structure.
No peak broadening, texture or thermal motion is included.

Cell and atoms:
a = 5.017 Å, b = 3.516 Å, c = 7.030 Å
α = 90.00°, β = 110.02°, γ = 90.00°
Space group P2_1/m (No. 11)
Inequivalent atoms, fractional coordinates:
Ta: 0.196 0.250 0.424
Nb: 0.190 0.250 0.926
Ni: 0.357 0.750 0.714
P: 0.360 0.750 0.216

Principal peaks in the range 5 to 70 degrees two-theta, in order of falling intensity:
- 2.400 Å, 2θ 37.5, rel. 100, (1 1 -2)
- 2.407 Å, 2θ 37.4, rel. 97, (0 1 2)
- 2.354 Å, 2θ 38.2, rel. 88, (1 0 2)
- 1.957 Å, 2θ 46.4, rel. 75, (2 1 0)
- 1.758 Å, 2θ 52.0, rel. 72, (0 2 0)
- 2.818 Å, 2θ 31.8, rel. 72, (1 1 0)
- 2.333 Å, 2θ 38.6, rel. 53, (2 0 -2)
- 6.605 Å, 2θ 13.4, rel. 50, (0 0 1)
- 1.409 Å, 2θ 66.4, rel. 34, (1 2 2)
- 1.404 Å, 2θ 66.6, rel. 28, (2 2 -2)
- 1.944 Å, 2θ 46.7, rel. 18, (2 1 -2)
- 3.104 Å, 2θ 28.8, rel. 14, (0 1 1)

=====

Record 9
This entry pairs a crystal structure of Nb4Ni5Pb5 with its computed X-ray powder pattern. Radiation: λ = 1.5418 Å (Cu Kα). Structure: a PBE-relaxed structure.
No peak broadening, texture or thermal motion is included.

Cell and atoms:
a = 9.580 Å, b = 9.580 Å, c = 6.072 Å
α = 90.00°, β = 90.00°, γ = 90.00°
Space group I-4 (No. 82)
Inequivalent atoms, fractional coordinates:
Nb: 0.098 0.199 0.257
Ni: 0.000 0.000 0.000
Ni: 0.108 0.716 0.471
Pb: 0.000 0.500 0.250
Pb: 0.086 0.223 0.761

Principal peaks in the range 5 to 70 degrees two-theta, in order of falling intensity:
- 2.144 Å, 2θ 42.2, rel. 100, (3 1 2)
- 3.032 Å, 2θ 29.5, rel. 55, (0 0 2)
- 3.501 Å, 2θ 25.4, rel. 46, (1 2 1)
- 1.828 Å, 2θ 49.9, rel. 19, (1 2 3)
- 1.750 Å, 2θ 52.3, rel. 13, (2 4 2)
- 1.356 Å, 2θ 69.3, rel. 12, (3 1 4)
- 1.515 Å, 2θ 61.2, rel. 9, (6 2 0)
- 2.434 Å, 2θ 36.9, rel. 6, (2 3 1)
- 1.391 Å, 2θ 67.3, rel. 6, (5 0 3)
- 1.518 Å, 2θ 61.0, rel. 5, (0 0 4)
- 1.355 Å, 2θ 69.4, rel. 5, (5 5 0)
- 1.525 Å, 2θ 60.7, rel. 4, (1 6 1)

=====

Record 10
This entry pairs a crystal structure of Nb9Ni2S6 with its computed X-ray powder pattern. Radiation: λ = 1.5418 Å (Cu Kα). Structure: a PBE-relaxed structure.
No peak broadening, texture or thermal motion is included.

Cell and atoms:
a = 10.2695 Å, b = 10.2695 Å, c = 3.4026 Å
α = 90.00°, β = 90.00°, γ = 120.00°
Space group P-62m (No. 189)
Inequivalent atoms, fractional coordinates:
Nb: 0.0000 0.4536 0.0000
Nb: 0.1962 0.7375 0.5000
Ni: 0.3333 0.6667 0.0000
S: 0.0000 0.2737 0.5000
S: 0.0000 0.7011 0.0000

Principal peaks in the range 5 to 70 degrees two-theta, in order of falling intensity:
- 8.894 Å, 2θ 9.9, rel. 100, (1 0 0)
- 2.391 Å, 2θ 37.6, rel. 62, (2 1 1)
- 2.467 Å, 2θ 36.4, rel. 31, (3 1 0)
- 2.702 Å, 2θ 33.2, rel. 25, (2 0 1)
- 2.049 Å, 2θ 44.2, rel. 25, (2 2 1)
- 2.223 Å, 2θ 40.6, rel. 17, (4 0 0)
- 2.235 Å, 2θ 40.4, rel. 15, (3 0 1)
- 1.701 Å, 2θ 53.9, rel. 10, (0 0 2)
- 1.400 Å, 2θ 66.8, rel. 10, (3 1 2)
- 1.446 Å, 2θ 64.4, rel. 9, (5 1 1)
- 1.597 Å, 2θ 57.7, rel. 8, (5 1 0)
- 1.507 Å, 2θ 61.5, rel. 8, (4 2 1)

=====

Record 11
This entry pairs a crystal structure of Nb2NiSe4S2 with its computed X-ray powder pattern. Radiation: λ = 1.5418 Å (Cu Kα). Structure: a PBE-relaxed structure.
No peak broadening, texture or thermal motion is included.

Cell and atoms:
a = 13.315 Å, b = 3.366 Å, c = 10.654 Å
α = 90.00°, β = 122.16°, γ = 90.00°
Space group C2/m (No. 12)
Inequivalent atoms, fractional coordinates:
Nb: 0.180 0.000 0.293
Ni: 0.000 0.500 0.000
Se: 0.005 0.500 0.222
Se: 0.208 0.500 0.125
S: 0.171 0.000 0.533

Principal peaks in the range 5 to 70 degrees two-theta, in order of falling intensity:
- 6.618 Å, 2θ 13.4, rel. 100, (2 0 -1)
- 2.507 Å, 2θ 35.8, rel. 33, (3 1 0)
- 2.085 Å, 2θ 43.4, rel. 32, (3 1 -4)
- 2.048 Å, 2θ 44.2, rel. 28, (1 1 3)
- 2.622 Å, 2θ 34.2, rel. 28, (3 1 -2)
- 2.021 Å, 2θ 44.9, rel. 24, (5 1 -1)
- 2.632 Å, 2θ 34.1, rel. 24, (2 0 -4)
- 4.510 Å, 2θ 19.7, rel. 20, (0 0 2)
- 2.356 Å, 2θ 38.2, rel. 19, (4 0 1)
- 9.020 Å, 2θ 9.8, rel. 19, (0 0 1)
- 2.900 Å, 2θ 30.8, rel. 18, (1 1 1)
- 2.453 Å, 2θ 36.6, rel. 17, (1 1 2)

=====

Record 12
This entry pairs a crystal structure of Nb3Ni5Sb5 with its computed X-ray powder pattern. Radiation: λ = 1.5418 Å (Cu Kα). Structure: a PBE-relaxed structure.
No peak broadening, texture or thermal motion is included.

Cell and atoms:
a = 13.091 Å, b = 5.976 Å, c = 9.287 Å
α = 90.00°, β = 134.73°, γ = 90.00°
Space group C2 (No. 5)
Inequivalent atoms, fractional coordinates:
Nb: 0.000 0.000 0.000
Nb: 0.101 0.506 0.798
Ni: 0.000 0.286 0.500
Ni: 0.085 0.758 0.283
Ni: 0.194 0.242 0.086
Sb: 0.000 0.500 0.000
Sb: 0.097 0.007 0.775
Sb: 0.208 0.512 0.593

Principal peaks in the range 5 to 70 degrees two-theta, in order of falling intensity:
- 2.098 Å, 2θ 43.1, rel. 100, (2 2 1)
- 2.092 Å, 2θ 43.2, rel. 90, (4 2 -3)
- 3.405 Å, 2θ 26.2, rel. 64, (3 1 -1)
- 3.419 Å, 2θ 26.1, rel. 51, (1 1 -2)
- 2.072 Å, 2θ 43.7, rel. 44, (6 0 -2)
- 2.084 Å, 2θ 43.4, rel. 43, (2 0 -4)
- 2.947 Å, 2θ 30.3, rel. 33, (2 0 1)
- 2.988 Å, 2θ 29.9, rel. 29, (0 2 0)
- 2.930 Å, 2θ 30.5, rel. 25, (4 0 -3)
- 1.796 Å, 2θ 50.8, rel. 19, (1 3 -2)
- 1.494 Å, 2θ 62.1, rel. 15, (0 4 0)
- 5.026 Å, 2θ 17.6, rel. 14, (1 1 -1)

=====

Record 13
This entry pairs a crystal structure of TaNbNiSb with its computed X-ray powder pattern. Radiation: λ = 1.5418 Å (Cu Kα). Structure: a PBE-relaxed structure.
No peak broadening, texture or thermal motion is included.

Cell and atoms:
a = 6.519 Å, b = 6.519 Å, c = 6.519 Å
α = 90.00°, β = 90.00°, γ = 90.00°
Space group F-43m (No. 216)
Inequivalent atoms, fractional coordinates:
Ta: 0.000 0.000 0.000
Nb: 0.250 0.250 0.250
Ni: 0.250 0.250 0.750
Sb: 0.000 0.000 0.500

Principal peaks in the range 5 to 70 degrees two-theta, in order of falling intensity:
- 2.305 Å, 2θ 39.1, rel. 100, (2 2 0)
- 1.630 Å, 2θ 56.5, rel. 17, (4 0 0)
- 3.260 Å, 2θ 27.4, rel. 11, (2 0 0)
- 3.764 Å, 2θ 23.6, rel. 5, (1 1 1)
- 1.458 Å, 2θ 63.9, rel. 5, (4 2 0)
- 1.882 Å, 2θ 48.4, rel. 3, (2 2 2)
- 1.966 Å, 2θ 46.2, rel. 3, (3 1 1)
- 1.496 Å, 2θ 62.1, rel. 1, (3 3 1)